(1)
For DyHoRu2, a DFT-relaxed cell (GGA-PBE, the Materials Project) gives the computed X-ray powder pattern in this record (Cu Kα, 1.54184 Å).
Kinematic intensities with the Lorentz-polarization factor, no thermal factor.

Structure:
a = 4.8024 Å, b = 4.8024 Å, c = 4.8024 Å
α = 60.00°, β = 60.00°, γ = 60.00°
Element x y z (fractional)
Dy 0.0000 0.0000 0.0000
Ho 0.5000 0.5000 0.5000
Ru 0.2500 0.2500 0.2500
Ru 0.7500 0.7500 0.7500

Principal peaks in the range 15° ≤ 2θ ≤ 90°, low angle first:
26.2 deg, I = 6
37.5 deg, I = 100
46.3 deg, I = 2
54.0 deg, I = 17
61.0 deg, I = 3
67.6 deg, I = 35
79.9 deg, I = 11
85.9 deg, I = 1

=====

(2)
For DyHoTl2, a DFT-relaxed cell (GGA-PBE, the Materials Project) gives the computed X-ray powder pattern in this record (Cu Kα, 1.54184 Å).
Kinematic intensities with the Lorentz-polarization factor, no thermal factor.

Structure:
a = 5.3563 Å, b = 5.3563 Å, c = 5.3563 Å
α = 60.00°, β = 60.00°, γ = 60.00°
Element x y z (fractional)
Dy 0.0000 0.0000 0.0000
Ho 0.5000 0.5000 0.5000
Tl 0.2500 0.2500 0.2500
Tl 0.7500 0.7500 0.7500

Principal peaks in the range 15° ≤ 2θ ≤ 90°, low angle first:
23.5 deg, I = 1
33.5 deg, I = 100
48.0 deg, I = 18
54.1 deg, I = 1
59.8 deg, I = 38
70.3 deg, I = 12
80.1 deg, I = 17
89.7 deg, I = 4

=====

(3)
For DyI3, a DFT-relaxed cell (GGA-PBE, the Materials Project) gives the computed X-ray powder pattern in this record (Cu Kα, 1.54184 Å).
Kinematic intensities with the Lorentz-polarization factor, no thermal factor.

Structure:
a = 11.5938 Å, b = 11.5938 Å, c = 3.9927 Å
α = 90.00°, β = 90.00°, γ = 120.00°
Element x y z (fractional)
Dy 0.3333 0.6667 0.2500
Dy 0.6667 0.3333 0.7500
I 0.2182 0.4364 0.7500
I 0.2182 0.7818 0.7500
I 0.4364 0.2182 0.2500
I 0.5636 0.7818 0.7500
I 0.7818 0.2182 0.2500
I 0.7818 0.5636 0.2500

Principal peaks in the range 15° ≤ 2θ ≤ 90°, low angle first:
15.3 deg, I = 43
17.7 deg, I = 76
23.4 deg, I = 30
28.6 deg, I = 100
32.1 deg, I = 32
32.6 deg, I = 40
35.0 deg, I = 58
39.5 deg, I = 60
47.0 deg, I = 33
55.9 deg, I = 35

=====

(4)
For K5Dy3I12, a DFT-relaxed cell (GGA-PBE, the Materials Project) gives the computed X-ray powder pattern in this record (Cu Kα, 1.54184 Å).
Kinematic intensities with the Lorentz-polarization factor, no thermal factor.

Structure:
a = 14.8698 Å, b = 14.8698 Å, c = 4.4478 Å
α = 90.00°, β = 90.00°, γ = 120.00°
Element x y z (fractional)
K 0.0000 0.7167 0.0000
K 0.2833 0.2833 0.0000
K 0.3333 0.6667 0.0000
K 0.6667 0.3333 0.0000
K 0.7167 0.0000 0.0000
Dy 0.0000 0.3239 0.5000
Dy 0.3239 0.0000 0.5000
Dy 0.6761 0.6761 0.5000
I 0.0000 0.1759 0.0000
I 0.0000 0.4683 0.0000
I 0.1759 0.0000 0.0000
I 0.2050 0.7610 0.5000
I 0.2390 0.4440 0.5000
I 0.4440 0.2390 0.5000
I 0.4683 0.0000 0.0000
I 0.5317 0.5317 0.0000
I 0.5560 0.7950 0.5000
I 0.7610 0.2050 0.5000
I 0.7950 0.5560 0.5000
I 0.8241 0.8241 0.0000

Principal peaks in the range 15° ≤ 2θ ≤ 90°, low angle first:
24.3 deg, I = 39
24.9 deg, I = 57
27.2 deg, I = 100
27.7 deg, I = 34
31.4 deg, I = 69
36.2 deg, I = 21
37.9 deg, I = 33
40.6 deg, I = 25
41.7 deg, I = 52
42.4 deg, I = 22